# CaNd2Pt9
Computed X-ray diffraction stick pattern, copper Kα. Input: DFT lattice parameters and positions (GGA-PBE).
No peak broadening, texture or thermal motion is included.

Cell and atoms:
Cell: 5.4754 5.4754 26.6769 Å, 90.00 90.00 120.00°
Space group R-3m (No. 166, hexagonal axes)
Unique sites:
Ca 0.0000 0.0000 0.0000
Nd 0.0000 0.0000 0.1385
Pt 0.0000 0.0000 0.3326
Pt 0.0000 0.0000 0.5000
Pt 0.0039 0.5020 0.9158

Largest 10 diffraction maxima, in order of rising 2θ, 2θ from 15° to 90°:
two_theta, I (rel.), (hkl)
19.01, 45, 1 0 1
38.11, 25, 0 2 1
38.62, 100, 1 1 6
40.38, 21, 0 2 4
40.58, 26, 0 0 12
41.69, 60, 2 0 5
41.84, 26, 0 1 11
45.04, 26, 0 2 7
62.33, 27, 0 3 6
68.55, 27, 2 2 0

***

# K2BaNp3S8
Computed X-ray diffraction stick pattern, copper Kα. Input: DFT lattice parameters and positions (GGA-PBE).
No peak broadening, texture or thermal motion is included.

Cell and atoms:
Cell: 8.2691 8.2691 22.3049 Å, 90.00 90.00 120.00°
Space group R3m (No. 160, hexagonal axes)
Unique sites:
K 0.0000 0.0000 0.0000
K 0.0000 0.0000 0.3697
Ba 0.0000 0.0000 0.7459
Np 0.0030 0.5015 0.8716
S 0.0000 0.0000 0.1414
S 0.0000 0.0000 0.6028
S 0.0374 0.5187 0.1409
S 0.1840 0.3681 0.9328

Largest 10 diffraction maxima, in order of rising 2θ, 2θ from 15° to 90°:
two_theta, I (rel.), (hkl)
20.18, 45, 1 0 4
23.50, 29, 0 1 5
24.64, 63, 1 1 3
25.19, 100, 0 2 1
26.14, 38, 2 0 2
29.65, 76, 0 2 4
37.79, 62, 0 2 7
41.03, 55, 2 0 8
43.80, 57, 2 2 0
45.54, 30, 2 2 3

***

# K3Ce2ZnS6
Computed X-ray diffraction stick pattern, copper Kα. Input: DFT lattice parameters and positions (GGA-PBE).
No peak broadening, texture or thermal motion is included.

Cell and atoms:
Cell: 7.030 12.185 7.711 Å, 90.00 107.66 90.00°
Space group C2/m (No. 12)
Unique sites:
K 0.000 0.000 0.000
K 0.000 0.334 0.000
Ce 0.000 0.167 0.500
Zn 0.000 0.500 0.500
S 0.228 0.338 0.700
S 0.244 0.000 0.699

Largest 10 diffraction maxima, in order of rising 2θ, 2θ from 15° to 90°:
two_theta, I (rel.), (hkl)
24.23, 13, 0 0 2
25.66, 14, 1 3 0
26.61, 24, 2 0 0
30.15, 100, 1 3 1
38.37, 16, 1 3 2
41.64, 34, 2 0 2
44.64, 33, 0 6 0
46.40, 12, 3 3 -2
54.80, 11, 2 6 -2
68.94, 11, 3 3 3

***

# Ac2B3IrRh12
Computed X-ray diffraction stick pattern, copper Kα. Input: DFT lattice parameters and positions (GGA-PBE).
No peak broadening, texture or thermal motion is included.

Cell and atoms:
Cell: 7.5874 7.5874 17.7018 Å, 90.00 90.00 120.00°
Space group R-3m (No. 166, hexagonal axes)
Unique sites:
Ac 0.0000 0.0000 0.0958
B 0.0000 0.5000 0.0000
Ir 0.0000 0.0000 0.5000
Rh 0.0536 0.5268 0.8827
Rh 0.0780 0.5390 0.3064

Largest 10 diffraction maxima, in order of rising 2θ, 2θ from 15° to 90°:
two_theta, I (rel.), (hkl)
23.45, 17, 1 1 0
27.61, 17, 0 2 1
33.98, 20, 0 2 4
37.34, 100, 2 0 5
37.62, 65, 1 2 2
38.13, 33, 1 0 7
44.10, 23, 0 3 3
47.96, 36, 2 2 0
59.30, 19, 0 2 10
73.08, 23, 3 2 7

***

# Ba6Sr3Ca
Computed X-ray diffraction stick pattern, copper Kα. Input: DFT lattice parameters and positions (GGA-PBE).
No peak broadening, texture or thermal motion is included.

Cell and atoms:
Cell: 12.4711 12.4711 27.4127 Å, 90.00 90.00 120.00°
Space group R-3m (No. 166, hexagonal axes)
Unique sites:
Ba 0.0849 0.5424 0.3035
Ba 0.1092 0.5546 0.5603
Sr 0.0435 0.5218 0.8825
Ca 0.0000 0.0000 0.0000
Ca 0.0000 0.0000 0.5000

Largest 10 diffraction maxima, in order of rising 2θ, 2θ from 15° to 90°:
two_theta, I (rel.), (hkl)
23.12, 44, 2 0 5
24.73, 34, 3 0 0
25.40, 80, 2 1 4
26.61, 100, 0 3 3
27.26, 42, 0 1 8
28.15, 34, 0 2 7
38.69, 26, 0 3 9
43.21, 23, 3 2 7
43.54, 24, 3 3 0
47.12, 31, 3 0 12

***

# YAlMo2
Computed X-ray diffraction stick pattern, copper Kα. Input: DFT lattice parameters and positions (GGA-PBE).
No peak broadening, texture or thermal motion is included.

Cell and atoms:
Cell: 3.279 3.279 7.036 Å, 90.00 90.00 90.00°
Space group P4mm (No. 99)
Unique sites:
Y 0.000 0.000 0.000
Al 0.500 0.500 0.311
Mo 0.000 0.000 0.522
Mo 0.500 0.500 0.715

Largest 10 diffraction maxima, in order of rising 2θ, 2θ from 15° to 90°:
two_theta, I (rel.), (hkl)
25.32, 7, 0 0 2
30.07, 8, 1 0 1
37.50, 100, 1 0 2
38.85, 52, 1 1 0
40.99, 8, 1 1 1
47.67, 10, 1 0 3
56.11, 17, 2 0 0
66.75, 12, 1 1 4
69.45, 31, 2 1 2
80.01, 7, 2 0 4

***

# Mn3FeP2
Computed X-ray diffraction stick pattern, copper Kα. Input: DFT lattice parameters and positions (GGA-PBE).
No peak broadening, texture or thermal motion is included.

Cell and atoms:
Cell: 4.831 12.090 4.847 Å, 90.00 90.00 90.00°
Space group Ibam (No. 72)
Unique sites:
Mn 0.000 0.000 0.250
Mn 0.250 0.181 0.000
Fe 0.000 0.500 0.250
P 0.248 0.130 0.500

Largest 10 diffraction maxima, in order of rising 2θ, 2θ from 15° to 90°:
two_theta, I (rel.), (hkl)
39.79, 58, 1 4 1
40.08, 100, 0 2 2
40.20, 99, 2 2 0
44.99, 48, 0 6 0
48.12, 58, 0 4 2
48.23, 58, 2 4 0
52.72, 31, 1 6 1
53.56, 90, 2 0 2
72.47, 41, 2 6 2
73.95, 19, 2 8 0

***

# GdDyP
Computed X-ray diffraction stick pattern, copper Kα. Input: DFT lattice parameters and positions (GGA-PBE).
No peak broadening, texture or thermal motion is included.

Cell and atoms:
Cell: 3.8901 3.8901 6.4346 Å, 90.00 90.00 120.00°
Space group P3m1 (No. 156)
Unique sites:
Gd 0.0000 0.0000 0.0000
Dy 0.3333 0.6667 0.5043
P 0.6667 0.3333 0.2551

Largest 10 diffraction maxima, in order of rising 2θ, 2θ from 15° to 90°:
two_theta, I (rel.), (hkl)
26.46, 14, 1 0 0
27.73, 22, 0 0 2
29.94, 100, 1 0 1
38.70, 23, 0 1 2
46.70, 23, 1 1 0
50.44, 23, 0 1 3
55.18, 20, 1 1 2
56.47, 17, 0 2 1
76.22, 14, 2 1 1
76.91, 11, 1 1 4